(1)
NaInMo6Se6: theoretical PXRD pattern (λ = 1.5418 Å (Cu Kα)), based on a crystal structure in Alexandria, relaxed with GGA-PBE.
Lines closer than 0.1° are merged.

Most intense lines, 10° ≤ 2θ ≤ 90°, sorted by position:
Position (°2θ), I (rel.)
11.4, 100
28.1, 12
30.6, 24
36.6, 52
39.8, 25
42.1, 13
45.3, 26
46.9, 30
51.0, 11
55.6, 11

```
data_NaInMo6Se6
_cell_length_a 8.9328
_cell_length_b 8.9328
_cell_length_c 4.5275
_cell_angle_alpha 90.00
_cell_angle_beta 90.00
_cell_angle_gamma 120.00
_symmetry_space_group_name_H-M 'P -6'
_symmetry_Int_Tables_number 174
loop_
_symmetry_equiv_pos_as_xyz
'x,y,z'
'-x+y,-x,-z'
'-y,x-y,z'
'x,y,-z'
'-x+y,-x,z'
'-y,x-y,-z'
loop_
_atom_site_label
_atom_site_type_symbol
_atom_site_fract_x
_atom_site_fract_y
_atom_site_fract_z
Na1 Na 0.0000 0.0000 0.0000
In1 In 0.6667 0.3333 0.5000
Mo1 Mo 0.1450 0.6283 0.5000
Mo2 Mo 0.1825 0.4783 0.0000
Se1 Se 0.0375 0.2929 0.5000
Se2 Se 0.4077 0.3695 0.0000
```

(2)
Pm2CdSn2Rh5: theoretical PXRD pattern (λ = 1.5418 Å (Cu Kα)), based on a crystal structure in Alexandria, relaxed with GGA-PBE.
Lines closer than 0.1° are merged.

Most intense lines, 10° ≤ 2θ ≤ 90°, sorted by position:
Position (°2θ), I (rel.)
34.4, 20
36.1, 36
36.6, 100
37.2, 19
39.3, 13
39.8, 33
42.7, 17
48.4, 21
61.9, 15
82.5, 10

```
data_Pm2CdSn2Rh5
_cell_length_a 10.2465
_cell_length_b 10.2465
_cell_length_c 3.7619
_cell_angle_alpha 90.00
_cell_angle_beta 90.00
_cell_angle_gamma 90.00
_symmetry_space_group_name_H-M 'P 4/m b m'
_symmetry_Int_Tables_number 127
_symmetry_space_group_name_Hall '-P 4 2ab'
loop_
_atom_site_label
_atom_site_type_symbol
_atom_site_fract_x
_atom_site_fract_y
_atom_site_fract_z
Pm1 Pm 0.1718 0.3282 0.0000
Cd1 Cd 0.0000 0.0000 0.0000
Sn1 Sn 0.1270 0.6270 0.0000
Rh1 Rh 0.0000 0.5000 0.5000
Rh2 Rh 0.0611 0.7966 0.5000
```

(3)
Pu3Fe2Sn3: theoretical PXRD pattern (λ = 1.5418 Å (Cu Kα)), based on a crystal structure in Alexandria, relaxed with GGA-PBE.
Lines closer than 0.1° are merged.

Most intense lines, 10° ≤ 2θ ≤ 90°, sorted by position:
Position (°2θ), I (rel.)
30.2, 78
33.4, 100
33.6, 40
34.1, 28
36.9, 34
38.0, 24
39.1, 47
52.5, 30
55.6, 21
67.2, 20

```
data_Pu3Fe2Sn3
_cell_length_a 16.2030
_cell_length_b 4.6130
_cell_length_c 4.8028
_cell_angle_alpha 90.00
_cell_angle_beta 99.21
_cell_angle_gamma 90.00
_symmetry_space_group_name_H-M 'C 1 2/m 1'
_symmetry_Int_Tables_number 12
loop_
_symmetry_equiv_pos_as_xyz
'x,y,z'
'-x,-y,-z'
'-x,y,-z'
'x,-y,z'
'x+1/2,y+1/2,z'
'-x+1/2,-y+1/2,-z'
'-x+1/2,y+1/2,-z'
'x+1/2,-y+1/2,z'
loop_
_atom_site_label
_atom_site_type_symbol
_atom_site_fract_x
_atom_site_fract_y
_atom_site_fract_z
Pu1 Pu 0.0000 0.0000 0.0000
Pu2 Pu 0.1656 0.0000 0.5788
Fe1 Fe 0.2132 0.0000 0.0911
Sn1 Sn 0.0000 0.5000 0.5000
Sn2 Sn 0.1364 0.5000 0.0715
```